# LiCoBO3
Calculated PXRD pattern, Cu Kα (λ = 1.5418 Å). Input: a cell relaxed with GGA+U.
Kinematic intensities with the Lorentz-polarization factor, no thermal factor.

Structure:
```
data_LiCoBO3
_cell_length_a 8.2342
_cell_length_b 8.2342
_cell_length_c 3.1212
_cell_angle_alpha 90.00
_cell_angle_beta 90.00
_cell_angle_gamma 120.00
_space_group_name_H-M_alt 'P -6'
_space_group_IT_number 174
_space_group_name_Hall 'P -6'
loop_
_atom_site_label
_atom_site_type_symbol
_atom_site_fract_x
_atom_site_fract_y
_atom_site_fract_z
Li1 Li 0.0448 0.6965 0.0000
Co1 Co 0.3567 0.0381 0.5000
B1 B 0.0000 0.0000 0.5000
B2 B 0.3333 0.6667 0.5000
B3 B 0.6667 0.3333 0.0000
O1 O 0.0833 0.8897 0.5000
O2 O 0.1393 0.5853 0.5000
O3 O 0.4718 0.2239 0.0000
```

Most intense lines, 10 to 80 degrees two-theta, sorted by position:
d 4.117, 21.6 deg, I = 100; d 3.121, 28.6 deg, I = 43; d 2.859, 31.3 deg, I = 14; d 2.695, 33.2 deg, I = 19; d 2.487, 36.1 deg, I = 73; d 2.377, 37.8 deg, I = 35; d 2.059, 44.0 deg, I = 20; d 1.891, 48.1 deg, I = 21; d 1.718, 53.3 deg, I = 27; d 1.671, 55.0 deg, I = 17; d 1.449, 64.3 deg, I = 12; d 1.393, 67.2 deg, I = 13